Computed X-ray diffraction stick pattern of Pm3Zn8Hg3 for Cu Kα X-rays, from a cell relaxed with GGA-PBE.
Peak positions follow from Bragg's law for the DFT cell and can differ from measured ones.

Top 8 peaks for 2θ = 15–90°, by angle:
d_spacing	Position (°2θ)	intensity	h k l
3.146	28.37	25	1 2 1
2.633	34.04	100	1 2 3
2.547	35.23	13	0 3 3
2.385	37.72	22	1 3 2
2.267	39.77	51	2 0 0
1.603	57.49	14	2 0 6
1.388	67.50	11	1 6 3
1.369	68.54	21	3 2 3

Crystal structure
```
data_Pm3Zn8Hg3
_symmetry_space_group_name_H-M 'I m m m'
_symmetry_Int_Tables_number 71
_symmetry_space_group_name_Hall '-I 2 2'
_cell_length_a 4.530
_cell_length_b 9.236
_cell_length_c 13.612
_cell_angle_alpha 90.00
_cell_angle_beta 90.00
_cell_angle_gamma 90.00
loop_
_atom_site_label
_atom_site_type_symbol
_atom_site_fract_x
_atom_site_fract_y
_atom_site_fract_z
Pm1 Pm 0.000 0.000 0.000
Pm2 Pm 0.000 0.000 0.302
Zn1 Zn 0.000 0.267 0.148
Zn2 Zn 0.000 0.367 0.330
Hg1 Hg 0.000 0.220 0.500
Hg2 Hg 0.000 0.500 0.000
```